Diffraction record for SmLuCdNi. The powder diffractogram is calculated, not measured: it uses a DFT-relaxed cell (GGA-PBE, Alexandria) and Cu Kα (λ = 1.5418 Å).
Intensities are scaled so that the largest is 100.

Atomic structure:
a b c (Å): 7.151 7.151 7.151
angles (deg): 90.00 90.00 90.00
Element x y z (fractional)
1 Sm 0.000 0.000 0.000
2 Sm 0.000 0.500 0.500
3 Sm 0.500 0.000 0.500
4 Sm 0.500 0.500 0.000
5 Lu 0.000 0.000 0.500
6 Lu 0.000 0.500 0.000
7 Lu 0.500 0.000 0.000
8 Lu 0.500 0.500 0.500
9 Cd 0.250 0.250 0.750
10 Cd 0.250 0.750 0.250
11 Cd 0.750 0.250 0.250
12 Cd 0.750 0.750 0.750
13 Ni 0.250 0.250 0.250
14 Ni 0.250 0.750 0.750
15 Ni 0.750 0.250 0.750
16 Ni 0.750 0.750 0.250

The 10 most intense peaks (15° ≤ 2θ ≤ 90°), by angle:
| h k l | 2θ/deg | I/Imax |
| --- | --- | --- |
| 1 1 1 | 21.52 | 3 |
| 2 0 0 | 24.90 | 10 |
| 2 2 0 | 35.51 | 100 |
| 2 2 2 | 43.86 | 3 |
| 4 0 0 | 51.09 | 18 |
| 4 2 0 | 57.65 | 4 |
| 4 2 2 | 63.76 | 36 |
| 4 4 0 | 75.16 | 11 |
| 6 0 0 | 80.61 | 2 |
| 6 2 0 | 85.97 | 16 |